The following is a computed powder XRD pattern of CaCr2As. It was derived from DFT lattice parameters and positions (PBE), using a wavelength of 1.5418 Å.
Peak positions follow from Bragg's law for the DFT cell and can differ from measured ones.

Largest 8 diffraction maxima, in order of rising 2θ, 2θ = 10–90°:
2θ/deg	I/Imax
17.07	991
33.54	756
34.54	225
37.87	404
42.65	1000
46.26	425
56.00	300
65.02	253

abc: 5.7417 5.7417 5.7417
angles: 43.33 43.33 43.33
Atoms (fractional coordinates):
1 Ca 0.0000 0.0000 0.0000
2 Cr 0.2014 0.2014 0.2014
3 Cr 0.5066 0.5066 0.5066
4 As 0.8015 0.8015 0.8015